Record 1
Computed X-ray diffraction stick pattern
Compound: Ho3Tm3Te2Os
Radiation: λ = 1.5418 Å (Cu Kα)
Structure: a crystal structure in OQMD, relaxed with PBE
Peak positions follow from Bragg's law for the DFT cell and can differ from measured ones.

Principal peaks in the range 10° ≤ 2θ ≤ 90°, sorted by position:
| two_theta | d/Å | Rel. int. |
| --- | --- | --- |
| 12.4 | 7.111 | 24.5 |
| 31.1 | 2.879 | 100.0 |
| 33.3 | 2.688 | 56.3 |
| 33.6 | 2.669 | 81.2 |
| 38.0 | 2.370 | 44.0 |
| 40.3 | 2.237 | 54.0 |
| 44.9 | 2.019 | 25.7 |
| 57.0 | 1.614 | 24.5 |
| 60.2 | 1.537 | 23.0 |
| 61.3 | 1.513 | 34.8 |

Structure:
Lattice parameters (Å, degrees): 8.211 8.211 4.039 90.00 90.00 120.00
Fractional coordinates of all 9 atoms:
Ho 0.000 0.611 0.000
Ho 0.389 0.389 0.000
Ho 0.611 0.000 0.000
Tm 0.000 0.238 0.500
Tm 0.238 0.000 0.500
Tm 0.762 0.762 0.500
Te 0.333 0.667 0.500
Te 0.667 0.333 0.500
Os 0.000 0.000 0.000

---

Record 2
Computed X-ray diffraction stick pattern
Compound: Y5Ho3Os
Radiation: λ = 1.5418 Å (Cu Kα)
Structure: a crystal structure in OQMD, relaxed with PBE
Peak positions follow from Bragg's law for the DFT cell and can differ from measured ones.

Principal peaks in the range 10° ≤ 2θ ≤ 90°, sorted by position:
| two_theta | d/Å | Rel. int. |
| --- | --- | --- |
| 11.3 | 7.850 | 24.7 |
| 19.6 | 4.532 | 23.0 |
| 30.1 | 2.967 | 41.8 |
| 31.2 | 2.863 | 100.0 |
| 33.3 | 2.689 | 71.9 |
| 34.3 | 2.617 | 77.3 |
| 38.9 | 2.313 | 45.9 |
| 49.4 | 1.846 | 17.4 |
| 56.9 | 1.619 | 39.2 |
| 61.5 | 1.508 | 28.4 |

Structure:
Lattice parameters (Å, degrees): 9.064 9.064 3.692 90.00 90.00 120.00
Fractional coordinates of all 9 atoms:
Y 0.000 0.242 0.000
Y 0.242 0.000 0.000
Y 0.333 0.667 0.000
Y 0.667 0.333 0.000
Y 0.758 0.758 0.000
Ho 0.000 0.623 0.500
Ho 0.377 0.377 0.500
Ho 0.623 0.000 0.500
Os 0.000 0.000 0.500

---

Record 3
Computed X-ray diffraction stick pattern
Compound: Ho3P2
Radiation: λ = 1.5418 Å (Cu Kα)
Structure: a crystal structure in OQMD, relaxed with PBE
Peak positions follow from Bragg's law for the DFT cell and can differ from measured ones.

Principal peaks in the range 10° ≤ 2θ ≤ 90°, sorted by position:
| two_theta | d/Å | Rel. int. |
| --- | --- | --- |
| 27.8 | 3.209 | 89.3 |
| 28.6 | 3.121 | 27.6 |
| 32.4 | 2.760 | 100.0 |
| 46.0 | 1.972 | 37.6 |
| 47.1 | 1.931 | 35.2 |
| 54.6 | 1.680 | 14.2 |
| 55.1 | 1.667 | 27.5 |
| 57.4 | 1.605 | 19.5 |
| 76.5 | 1.245 | 22.3 |
| 78.1 | 1.224 | 15.7 |

Structure:
Lattice parameters (Å, degrees): 3.945 3.945 9.364 90.00 90.00 120.00
Fractional coordinates of all 5 atoms:
Ho 0.000 0.000 0.000
Ho 0.333 0.667 0.665
Ho 0.667 0.333 0.335
P 0.333 0.667 0.176
P 0.667 0.333 0.824

---

Record 4
Computed X-ray diffraction stick pattern
Compound: Ho5P12Pd19
Radiation: λ = 1.5418 Å (Cu Kα)
Structure: a crystal structure in OQMD, relaxed with PBE
Peak positions follow from Bragg's law for the DFT cell and can differ from measured ones.

Principal peaks in the range 10° ≤ 2θ ≤ 90°, sorted by position:
| two_theta | d/Å | Rel. int. |
| --- | --- | --- |
| 27.4 | 3.250 | 16.5 |
| 35.6 | 2.521 | 100.0 |
| 36.5 | 2.459 | 31.0 |
| 44.8 | 2.022 | 7.7 |
| 45.4 | 1.997 | 20.1 |
| 48.5 | 1.876 | 17.7 |
| 67.0 | 1.397 | 8.2 |
| 68.6 | 1.367 | 12.3 |
| 72.7 | 1.301 | 6.6 |
| 77.5 | 1.232 | 10.2 |

Structure:
Lattice parameters (Å, degrees): 12.999 12.999 3.994 90.00 90.00 120.00
Fractional coordinates of all 36 atoms:
Ho 0.000 0.813 0.000
Ho 0.187 0.187 0.000
Ho 0.333 0.667 0.500
Ho 0.667 0.333 0.500
Ho 0.813 0.000 0.000
P 0.000 0.176 0.500
P 0.000 0.640 0.500
P 0.173 0.484 0.000
P 0.176 0.000 0.500
P 0.311 0.827 0.000
P 0.360 0.360 0.500
P 0.484 0.173 0.000
P 0.516 0.689 0.000
P 0.640 0.000 0.500
P 0.689 0.516 0.000
P 0.824 0.824 0.500
P 0.827 0.311 0.000
Pd 0.000 0.000 0.500
Pd 0.000 0.288 0.000
Pd 0.000 0.456 0.500
Pd 0.132 0.638 0.000
Pd 0.184 0.378 0.500
Pd 0.193 0.816 0.500
Pd 0.288 0.000 0.000
Pd 0.362 0.493 0.000
Pd 0.378 0.184 0.500
Pd 0.456 0.000 0.500
Pd 0.493 0.362 0.000
Pd 0.507 0.868 0.000
Pd 0.544 0.544 0.500
Pd 0.622 0.807 0.500
Pd 0.638 0.132 0.000
Pd 0.712 0.712 0.000
Pd 0.807 0.622 0.500
Pd 0.816 0.193 0.500
Pd 0.868 0.507 0.000

---

Record 5
Computed X-ray diffraction stick pattern
Compound: HoTePS3
Radiation: λ = 1.5418 Å (Cu Kα)
Structure: a crystal structure in OQMD, relaxed with PBE
Peak positions follow from Bragg's law for the DFT cell and can differ from measured ones.

Principal peaks in the range 10° ≤ 2θ ≤ 90°, sorted by position:
| two_theta | d/Å | Rel. int. |
| --- | --- | --- |
| 11.3 | 7.838 | 96.0 |
| 17.6 | 5.040 | 63.8 |
| 17.9 | 4.969 | 100.0 |
| 18.3 | 4.838 | 39.2 |
| 20.8 | 4.262 | 62.9 |
| 27.4 | 3.253 | 61.0 |
| 27.9 | 3.201 | 78.2 |
| 30.5 | 2.936 | 67.2 |
| 31.6 | 2.830 | 40.1 |
| 36.1 | 2.488 | 40.9 |

Structure:
Lattice parameters (Å, degrees): 6.598 6.622 7.862 85.62 88.43 80.36
Fractional coordinates of all 12 atoms:
Ho 0.204 0.202 0.052
Ho 0.796 0.798 0.948
Te 0.277 0.392 0.383
Te 0.723 0.608 0.617
P 0.245 0.694 0.187
P 0.755 0.306 0.813
S 0.012 0.084 0.769
S 0.220 0.612 0.940
S 0.480 0.867 0.199
S 0.520 0.133 0.801
S 0.780 0.388 0.060
S 0.988 0.916 0.231

---

Record 6
Computed X-ray diffraction stick pattern
Compound: Ho2TmP3
Radiation: λ = 1.5418 Å (Cu Kα)
Structure: a crystal structure in OQMD, relaxed with PBE
Peak positions follow from Bragg's law for the DFT cell and can differ from measured ones.

Principal peaks in the range 10° ≤ 2θ ≤ 90°, sorted by position:
| two_theta | d/Å | Rel. int. |
| --- | --- | --- |
| 27.5 | 3.243 | 89.3 |
| 31.9 | 2.809 | 100.0 |
| 45.7 | 1.986 | 73.0 |
| 54.2 | 1.694 | 43.4 |
| 56.8 | 1.622 | 25.5 |
| 66.6 | 1.404 | 11.8 |
| 73.5 | 1.289 | 17.5 |
| 75.7 | 1.256 | 32.9 |
| 84.5 | 1.147 | 25.2 |

Structure:
Lattice parameters (Å, degrees): 3.973 3.973 9.723 90.00 90.00 120.00
Fractional coordinates of all 6 atoms:
Ho 0.333 0.667 0.332
Ho 0.667 0.333 0.668
Tm 0.000 0.000 0.000
P 0.000 0.000 0.500
P 0.333 0.667 0.835
P 0.667 0.333 0.165